# 1
The following is a computed powder diffractogram of Er4Pd. It was derived from a crystal structure in Alexandria, relaxed with GGA-PBE, using Cu Kα X-rays.

Top 8 peaks for 10° ≤ 2θ ≤ 90°, in order of rising 2θ:
| (hkl) | 2θ/deg | d [Å] | I_rel |
| --- | --- | --- | --- |
| 4 0 0 | 28.47 | 3.135 | 34.5 |
| 2 2 2 | 31.91 | 2.804 | 100.0 |
| 3 3 1 | 32.73 | 2.736 | 30.2 |
| 1 5 1 | 38.64 | 2.330 | 25.7 |
| 5 1 1 | 38.72 | 2.325 | 12.3 |
| 4 4 0 | 40.70 | 2.217 | 24.1 |
| 1 7 1 | 53.13 | 1.724 | 14.2 |
| 3 7 3 | 69.01 | 1.361 | 12.7 |

Atomic structure:
```
data_Er4Pd
_chemical_formula_sum 'Er32 Pd8'
_cell_length_a 12.519
_cell_length_b 12.558
_cell_length_c 7.242
_cell_angle_alpha 90.00
_cell_angle_beta 90.00
_cell_angle_gamma 90.00
_symmetry_space_group_name_H-M 'F d d 2'
_symmetry_Int_Tables_number 43
_symmetry_space_group_name_Hall 'F 2 -2d'
loop_
_atom_site_label
_atom_site_fract_x
_atom_site_fract_y
_atom_site_fract_z
_atom_site_occupancy
Er1 0.078 0.126 0.000 1
Er2 0.123 0.172 0.542 1
Pd1 0.000 0.000 0.646 1
```

---

# 2
The following is a computed powder diffractogram of Tb8Sm4Dy3. It was derived from a crystal structure in Alexandria, relaxed with GGA-PBE, using Cu Kα X-rays.

Top 8 peaks for 10° ≤ 2θ ≤ 90°, in order of rising 2θ:
| (hkl) | 2θ/deg | d [Å] | I_rel |
| --- | --- | --- | --- |
| 0 2 1 | 29.76 | 3.002 | 25.4 |
| 0 0 12 | 30.24 | 2.956 | 55.9 |
| 0 2 4 | 31.34 | 2.854 | 100.0 |
| 2 0 8 | 36.02 | 2.493 | 73.1 |
| 0 2 16 | 51.14 | 1.786 | 23.4 |
| 2 2 0 | 52.58 | 1.741 | 36.8 |
| 2 0 20 | 60.57 | 1.529 | 16.5 |
| 2 2 12 | 61.85 | 1.500 | 45.5 |

Atomic structure:
```
data_Tb8Sm4Dy3
_chemical_formula_sum 'Tb24 Sm12 Dy9'
_cell_length_a 6.9627
_cell_length_b 6.9627
_cell_length_c 35.4709
_cell_angle_alpha 90.00
_cell_angle_beta 90.00
_cell_angle_gamma 120.00
_symmetry_space_group_name_H-M 'R -3 m'
_symmetry_Int_Tables_number 166
_symmetry_space_group_name_Hall '-R 3 2"'
loop_
_atom_site_label
_atom_site_fract_x
_atom_site_fract_y
_atom_site_fract_z
_atom_site_occupancy
Tb1 0.0000 0.0000 0.2452 1
Tb2 0.0017 0.5009 0.7509 1
Sm1 0.0000 0.0000 0.0000 1
Sm2 0.0000 0.0000 0.3365 1
Sm3 0.0000 0.0000 0.5000 1
Dy1 0.0000 0.5000 0.5000 1
```

---

# 3
The following is a computed powder diffractogram of Mg4Ga3. It was derived from a crystal structure in Alexandria, relaxed with GGA-PBE, using Cu Kα X-rays.

Top 8 peaks for 10° ≤ 2θ ≤ 90°, in order of rising 2θ:
| (hkl) | 2θ/deg | d [Å] | I_rel |
| --- | --- | --- | --- |
| 2 1 0 | 22.35 | 3.978 | 42.5 |
| 1 0 1 | 28.71 | 3.109 | 37.9 |
| 2 1 1 | 35.64 | 2.519 | 51.5 |
| 1 4 0 | 39.23 | 2.297 | 100.0 |
| 1 3 1 | 41.56 | 2.173 | 26.6 |
| 4 0 1 | 44.27 | 2.046 | 16.4 |
| 5 -2 1 | 46.85 | 1.939 | 16.3 |
| 1 4 2 | 70.99 | 1.328 | 22.3 |

Atomic structure:
```
data_Mg4Ga3
_chemical_formula_sum 'Mg12 Ga9'
_cell_length_a 12.1531
_cell_length_b 12.1531
_cell_length_c 3.2545
_cell_angle_alpha 90.00
_cell_angle_beta 90.00
_cell_angle_gamma 120.00
_symmetry_space_group_name_H-M 'P -3'
_symmetry_Int_Tables_number 147
_symmetry_space_group_name_Hall '-P 3'
loop_
_atom_site_label
_atom_site_fract_x
_atom_site_fract_y
_atom_site_fract_z
_atom_site_occupancy
Mg1 0.0225 0.2333 0.2468 1
Mg2 0.1156 0.4956 0.7454 1
Ga1 0.0000 0.0000 0.5000 1
Ga2 0.1424 0.7159 0.2444 1
Ga3 0.3333 0.6667 0.2376 1
```

---

# 4
The following is a computed powder diffractogram of CaIn12Cu6. It was derived from a crystal structure in Alexandria, relaxed with GGA-PBE, using Cu Kα X-rays.

Top 8 peaks for 10° ≤ 2θ ≤ 90°, in order of rising 2θ:
| (hkl) | 2θ/deg | d [Å] | I_rel |
| --- | --- | --- | --- |
| 1 0 1 | 12.51 | 7.075 | 27.7 |
| 1 3 1 | 30.98 | 2.887 | 100.0 |
| 1 1 3 | 32.25 | 2.776 | 52.2 |
| 3 2 1 | 37.07 | 2.425 | 50.5 |
| 0 3 3 | 38.16 | 2.358 | 93.3 |
| 0 2 4 | 42.36 | 2.134 | 27.4 |
| 5 0 2 | 45.82 | 1.980 | 51.3 |
| 3 1 5 | 58.32 | 1.582 | 26.8 |

Atomic structure:
```
data_CaIn12Cu6
_chemical_formula_sum 'Ca3 In36 Cu18'
_cell_length_a 12.6469
_cell_length_b 12.6469
_cell_length_c 9.2689
_cell_angle_alpha 90.00
_cell_angle_beta 90.00
_cell_angle_gamma 120.00
_symmetry_space_group_name_H-M 'R -3 m'
_symmetry_Int_Tables_number 166
_symmetry_space_group_name_Hall '-R 3 2"'
loop_
_atom_site_label
_atom_site_fract_x
_atom_site_fract_y
_atom_site_fract_z
_atom_site_occupancy
Ca1 0.0000 0.0000 0.0000 1
In1 0.0000 0.3796 0.5000 1
In2 0.0850 0.1700 0.3292 1
Cu1 0.0426 0.5213 0.2537 1
```

---

# 5
The following is a computed powder diffractogram of Na3AcC4O12. It was derived from a crystal structure in Alexandria, relaxed with GGA-PBE, using Cu Kα X-rays.

Top 8 peaks for 10° ≤ 2θ ≤ 90°, in order of rising 2θ:
| (hkl) | 2θ/deg | d [Å] | I_rel |
| --- | --- | --- | --- |
| 1 0 1 | 13.95 | 6.348 | 100.0 |
| 1 1 0 | 17.32 | 5.119 | 56.1 |
| 0 1 2 | 21.97 | 4.045 | 39.3 |
| 0 2 1 | 22.31 | 3.985 | 28.0 |
| 2 0 2 | 28.12 | 3.174 | 83.1 |
| 2 1 1 | 28.38 | 3.144 | 37.8 |
| 1 2 2 | 33.21 | 2.697 | 32.5 |
| 1 1 3 | 34.39 | 2.608 | 26.8 |

Atomic structure:
```
data_Na3AcC4O12
_chemical_formula_sum 'Na9 Ac3 C12 O36'
_cell_length_a 10.2380
_cell_length_b 10.2380
_cell_length_c 9.0916
_cell_angle_alpha 90.00
_cell_angle_beta 90.00
_cell_angle_gamma 120.00
_symmetry_space_group_name_H-M 'R 3 2'
_symmetry_Int_Tables_number 155
_symmetry_space_group_name_Hall 'R 3 2"'
loop_
_atom_site_label
_atom_site_fract_x
_atom_site_fract_y
_atom_site_fract_z
_atom_site_occupancy
Na1 0.0000 0.5400 0.0000 1
Ac1 0.0000 0.0000 0.0000 1
C1 0.0000 0.0000 0.5000 1
C2 0.0000 0.4591 0.5000 1
O1 0.0002 0.2061 0.1629 1
O2 0.0000 0.5844 0.5000 1
O3 0.0000 0.8750 0.5000 1
```

---

# 6
The following is a computed powder diffractogram of Sc2Be2ZnRh5. It was derived from a crystal structure in Alexandria, relaxed with GGA-PBE, using Cu Kα X-rays.

Top 8 peaks for 10° ≤ 2θ ≤ 90°, in order of rising 2θ:
| (hkl) | 2θ/deg | d [Å] | I_rel |
| --- | --- | --- | --- |
| 0 0 1 | 28.63 | 3.117 | 38.2 |
| 3 2 0 | 34.22 | 2.621 | 29.9 |
| 2 1 1 | 35.79 | 2.509 | 39.0 |
| 4 1 0 | 39.31 | 2.292 | 64.0 |
| 3 1 1 | 41.88 | 2.157 | 100.0 |
| 4 2 0 | 42.80 | 2.113 | 36.8 |
| 3 2 1 | 45.20 | 2.006 | 39.2 |
| 7 1 1 | 77.76 | 1.228 | 31.2 |

Atomic structure:
```
data_Sc2Be2ZnRh5
_chemical_formula_sum 'Sc4 Be4 Zn2 Rh10'
_cell_length_a 9.449
_cell_length_b 9.449
_cell_length_c 3.117
_cell_angle_alpha 90.00
_cell_angle_beta 90.00
_cell_angle_gamma 90.00
_symmetry_space_group_name_H-M 'P 4/m b m'
_symmetry_Int_Tables_number 127
_symmetry_space_group_name_Hall '-P 4 2ab'
loop_
_atom_site_label
_atom_site_fract_x
_atom_site_fract_y
_atom_site_fract_z
_atom_site_occupancy
Sc1 0.175 0.325 0.000 1
Be1 0.125 0.625 0.000 1
Zn1 0.000 0.000 0.000 1
Rh1 0.000 0.500 0.500 1
Rh2 0.071 0.790 0.500 1
```

---

# 7
The following is a computed powder diffractogram of Ti2GaRe2. It was derived from a crystal structure in Alexandria, relaxed with GGA-PBE, using Cu Kα X-rays.

Top 8 peaks for 10° ≤ 2θ ≤ 90°, in order of rising 2θ:
| (hkl) | 2θ/deg | d [Å] | I_rel |
| --- | --- | --- | --- |
| 0 2 0 | 12.73 | 6.956 | 100.0 |
| 0 0 1 | 31.31 | 2.857 | 37.2 |
| 0 2 1 | 33.92 | 2.643 | 28.5 |
| 1 1 1 | 39.13 | 2.302 | 47.7 |
| 1 5 0 | 39.29 | 2.293 | 95.6 |
| 1 3 1 | 43.40 | 2.085 | 38.8 |
| 2 0 0 | 44.77 | 2.024 | 33.4 |
| 1 5 1 | 51.08 | 1.788 | 40.3 |

Atomic structure:
```
data_Ti2GaRe2
_chemical_formula_sum 'Ti4 Ga2 Re4'
_cell_length_a 4.048
_cell_length_b 13.912
_cell_length_c 2.857
_cell_angle_alpha 90.00
_cell_angle_beta 90.00
_cell_angle_gamma 90.00
_symmetry_space_group_name_H-M 'C m m m'
_symmetry_Int_Tables_number 65
_symmetry_space_group_name_Hall '-C 2 2'
loop_
_atom_site_label
_atom_site_fract_x
_atom_site_fract_y
_atom_site_fract_z
_atom_site_occupancy
Ti1 0.000 0.109 0.000 1
Ga1 0.000 0.500 0.500 1
Re1 0.000 0.302 0.500 1
```

---

# 8
The following is a computed powder diffractogram of CuTcHg. It was derived from a crystal structure in Alexandria, relaxed with GGA-PBE, using Cu Kα X-rays.

Top 8 peaks for 10° ≤ 2θ ≤ 90°, in order of rising 2θ:
| (hkl) | 2θ/deg | d [Å] | I_rel |
| --- | --- | --- | --- |
| 0 0 2 | 14.60 | 6.066 | 16.7 |
| 0 0 4 | 29.45 | 3.033 | 11.2 |
| 1 0 1 | 32.83 | 2.728 | 20.5 |
| 1 0 3 | 39.14 | 2.302 | 100.0 |
| 0 0 6 | 44.82 | 2.022 | 15.7 |
| 1 1 0 | 45.84 | 1.979 | 32.6 |
| 1 1 6 | 66.05 | 1.415 | 19.5 |
| 2 1 3 | 80.27 | 1.196 | 24.4 |

Atomic structure:
```
data_CuTcHg
_chemical_formula_sum 'Cu2 Tc2 Hg2'
_cell_length_a 2.799
_cell_length_b 2.799
_cell_length_c 12.132
_cell_angle_alpha 90.00
_cell_angle_beta 90.00
_cell_angle_gamma 90.00
_symmetry_space_group_name_H-M 'I 4 m m'
_symmetry_Int_Tables_number 107
_symmetry_space_group_name_Hall 'I 4 -2'
loop_
_atom_site_label
_atom_site_fract_x
_atom_site_fract_y
_atom_site_fract_z
_atom_site_occupancy
Cu1 0.000 0.000 0.000 1
Tc1 0.000 0.000 0.645 1
Hg1 0.000 0.000 0.329 1
```

---

Q: Which formula does entry 4 have?
A: CaIn12Cu6